For V6CrOs, a cell relaxed with PBE gives the simulated PXRD pattern in this record (Cu Kα X-rays).
Kinematic intensities with the Lorentz-polarization factor, no thermal factor.

Cell lengths 5.952, 8.481, 4.184 Å; angles 90.00, 90.00, 90.00 degrees
Space group Cmmm (No. 65)
Symmetry-distinct sites (fractional):
V 0.000 0.248 0.000 x4
V 0.244 0.000 0.000 x4
V 0.250 0.250 0.500 x4
Cr 0.000 0.000 0.500 x2
Os 0.000 0.500 0.500 x2

Peak list (12 most intense, 10 to 90 degrees two-theta, most intense first)
Position (°2θ), d [Å], Rel. int., hkl
42.96, 2.105, 100, 2 2 1
42.64, 2.120, 26, 0 4 0
43.25, 2.092, 25, 0 0 2
18.21, 4.872, 24, 1 1 0
62.37, 1.489, 23, 0 4 2
28.11, 3.174, 20, 1 1 1
78.29, 1.221, 15, 2 6 1
79.13, 1.210, 15, 2 2 3
30.01, 2.978, 13, 2 0 0
20.95, 4.241, 11, 0 2 0
21.23, 4.184, 10, 0 0 1
78.54, 1.218, 8, 4 4 0

=====

For AlZnTcO6, a cell relaxed with PBE gives the simulated PXRD pattern in this record (Cu Kα X-rays).
Kinematic intensities with the Lorentz-polarization factor, no thermal factor.

Cell lengths 4.9576, 4.9576, 8.9994 Å; angles 90.00, 90.00, 120.00 degrees
Space group P-31c (No. 163)
Symmetry-distinct sites (fractional):
Al 0.3333 0.6667 0.2500 x2
Zn 0.0000 0.0000 0.0000 x2
Tc 0.3333 0.6667 0.7500 x2
O 0.0000 0.3574 0.1349 x12

Peak list (12 most intense, 10 to 90 degrees two-theta, most intense first)
Position (°2θ), d [Å], Rel. int., hkl
28.74, 3.106, 100, 1 0 2
55.13, 1.666, 47, 1 1 4
22.95, 3.875, 38, 1 0 1
36.24, 2.479, 33, 1 1 0
46.89, 1.937, 24, 2 0 2
60.67, 1.527, 23, 2 1 2
65.19, 1.431, 18, 3 0 0
41.60, 2.171, 17, 1 1 2
19.73, 4.500, 12, 0 0 2
36.54, 2.459, 11, 1 0 3
84.09, 1.151, 9, 4 -1 2
65.97, 1.416, 8, 1 0 6